Calculated powder XRD pattern
Compound: SrNdCoO4
Radiation: copper Kα
Structure: a crystal structure in the Materials Project, relaxed with GGA+U
Intensities are scaled so that the largest is 100.

Principal peaks in the range 2θ from 10° to 90°, sorted by position:
24.33 deg, I = 17, (1 1 1); 31.74 deg, I = 100, (1 3 1); 33.12 deg, I = 72, (2 0 0); 43.20 deg, I = 19, (1 5 1); 44.27 deg, I = 29, (2 4 0); 47.55 deg, I = 37, (2 0 2); 58.25 deg, I = 18, (1 3 3); 58.37 deg, I = 20, (3 3 1)

Structural model:
```
data_SrNdCoO4
_symmetry_space_group_name_H-M 'C m c m'
_symmetry_Int_Tables_number 63
_symmetry_space_group_name_Hall '-C 2c 2'
_cell_length_a 5.402
_cell_length_b 12.513
_cell_length_c 5.416
_cell_angle_alpha 90.00
_cell_angle_beta 90.00
_cell_angle_gamma 90.00
loop_
_atom_site_label
_atom_site_type_symbol
_atom_site_fract_x
_atom_site_fract_y
_atom_site_fract_z
Sr1 Sr 0.000 0.106 0.250
Nd1 Nd 0.000 0.387 0.250
Co1 Co 0.000 0.249 0.750
O1 O 0.000 0.088 0.750
O2 O 0.000 0.426 0.750
O3 O 0.250 0.250 0.000
```

=====

Calculated powder XRD pattern
Compound: SrNdCoO4
Radiation: copper Kα
Structure: a crystal structure in the Materials Project, relaxed with GGA+U
Intensities are scaled so that the largest is 100.

Principal peaks in the range 2θ from 10° to 90°, sorted by position:
24.34 deg, I = 22, (1 0 1); 31.74 deg, I = 100, (1 0 3); 33.14 deg, I = 70, (1 1 0); 43.18 deg, I = 18, (1 0 5); 44.27 deg, I = 28, (1 1 4); 47.57 deg, I = 36, (2 0 0); 55.63 deg, I = 15, (1 1 6); 58.32 deg, I = 36, (2 1 3)

Structural model:
```
data_SrNdCoO4
_symmetry_space_group_name_H-M 'I 4 m m'
_symmetry_Int_Tables_number 107
_symmetry_space_group_name_Hall 'I 4 -2'
_cell_length_a 3.823
_cell_length_b 3.823
_cell_length_c 12.523
_cell_angle_alpha 90.00
_cell_angle_beta 90.00
_cell_angle_gamma 90.00
loop_
_atom_site_label
_atom_site_type_symbol
_atom_site_fract_x
_atom_site_fract_y
_atom_site_fract_z
Sr1 Sr 0.000 0.000 0.000
Nd1 Nd 0.000 0.000 0.718
Co1 Co 0.000 0.000 0.359
O1 O 0.000 0.000 0.194
O2 O 0.000 0.000 0.531
O3 O 0.000 0.500 0.349
```

=====

Calculated powder XRD pattern
Compound: Sr3NdCo2O8
Radiation: copper Kα
Structure: a crystal structure in the Materials Project, relaxed with GGA+U
Intensities are scaled so that the largest is 100.

Principal peaks in the range 2θ from 10° to 90°, sorted by position:
31.77 deg, I = 100, (1 1 3); 33.01 deg, I = 36, (0 2 0); 33.22 deg, I = 36, (2 0 0); 43.26 deg, I = 17, (1 1 5); 47.53 deg, I = 39, (2 2 0); 58.17 deg, I = 18, (1 3 3); 58.44 deg, I = 19, (3 1 3); 66.36 deg, I = 18, (2 2 6)

Structural model:
```
data_Sr3NdCo2O8
_symmetry_space_group_name_H-M 'A m m 2'
_symmetry_Int_Tables_number 38
_symmetry_space_group_name_Hall 'A 2 -2'
_cell_length_a 5.394
_cell_length_b 5.427
_cell_length_c 12.489
_cell_angle_alpha 90.00
_cell_angle_beta 90.00
_cell_angle_gamma 90.00
loop_
_atom_site_label
_atom_site_type_symbol
_atom_site_fract_x
_atom_site_fract_y
_atom_site_fract_z
Sr1 Sr 0.000 0.000 0.000
Sr2 Sr 0.000 0.000 0.285
Sr3 Sr 0.500 0.000 0.788
Nd1 Nd 0.500 0.000 0.506
Co1 Co 0.000 0.000 0.645
Co2 Co 0.500 0.000 0.145
O1 O 0.000 0.000 0.485
O2 O 0.000 0.000 0.798
O3 O 0.254 0.243 0.640
O4 O 0.500 0.000 0.317
O5 O 0.500 0.000 0.981
```

=====

Calculated powder XRD pattern
Compound: Co5NiO12
Radiation: copper Kα
Structure: a crystal structure in the Materials Project, relaxed with GGA+U
Intensities are scaled so that the largest is 100.

Principal peaks in the range 2θ from 10° to 90°, sorted by position:
18.45 deg, I = 100, (0 0 2); 36.71 deg, I = 6, (2 0 0); 37.89 deg, I = 29, (1 3 1); 41.37 deg, I = 20, (2 0 2); 46.65 deg, I = 28, (1 3 3); 53.41 deg, I = 11, (2 0 4); 61.26 deg, I = 14, (1 3 5); 66.88 deg, I = 13, (3 3 -1)

Structural model:
```
data_Co5NiO12
_symmetry_space_group_name_H-M 'C 1 2/m 1'
_symmetry_Int_Tables_number 12
_symmetry_space_group_name_Hall '-C 2y'
_cell_length_a 4.897
_cell_length_b 8.493
_cell_length_c 9.618
_cell_angle_alpha 90.00
_cell_angle_beta 90.05
_cell_angle_gamma 90.00
loop_
_atom_site_label
_atom_site_type_symbol
_atom_site_fract_x
_atom_site_fract_y
_atom_site_fract_z
Co1 Co 0.000 0.000 0.000
Co2 Co 0.000 0.167 0.500
Co3 Co 0.000 0.333 0.000
Ni1 Ni 0.000 0.500 0.500
O1 O 0.166 0.166 0.902
O2 O 0.166 0.334 0.598
O3 O 0.167 0.500 0.902
O4 O 0.168 0.000 0.598
```